Starting from a cell relaxed with PBE, the X-ray powder pattern of Ho3Al12Ru4 was calculated for Cu Kα.
Kinematic intensities with the Lorentz-polarization factor, no thermal factor.

Main lines, in order of rising 2θ (10 to 80 degrees two-theta):
d = 5.969 Å, 2θ 14.8, I = 42, hkl 1 0 1
d = 3.545 Å, 2θ 25.1, I = 61, hkl 2 0 1
d = 2.985 Å, 2θ 29.9, I = 100, hkl 2 0 2
d = 2.884 Å, 2θ 31.0, I = 22, hkl 2 1 0
d = 2.471 Å, 2θ 36.4, I = 36, hkl 2 1 2
d = 2.459 Å, 2θ 36.5, I = 34, hkl 3 0 1
d = 2.449 Å, 2θ 36.7, I = 68, hkl 2 0 3
d = 2.395 Å, 2θ 37.6, I = 37, hkl 0 0 4
d = 2.203 Å, 2θ 41.0, I = 83, hkl 2 2 0
d = 1.772 Å, 2θ 51.6, I = 17, hkl 4 0 2
d = 1.621 Å, 2θ 56.8, I = 38, hkl 2 2 4
d = 1.473 Å, 2θ 63.1, I = 19, hkl 2 0 6

Structural model:
```
data_Ho3Al12Ru4
_cell_length_a 8.8122
_cell_length_b 8.8122
_cell_length_c 9.5808
_cell_angle_alpha 90.00
_cell_angle_beta 90.00
_cell_angle_gamma 120.00
_symmetry_space_group_name_H-M 'P 63/m m c'
_symmetry_Int_Tables_number 194
_symmetry_space_group_name_Hall '-P 6c 2c'
loop_
_atom_site_label
_atom_site_fract_x
_atom_site_fract_y
_atom_site_fract_z
Ho1 0.1937 0.3874 0.2500
Al1 0.0000 0.0000 0.2500
Al2 0.1217 0.5608 0.7500
Al3 0.1619 0.3239 0.5775
Al4 0.3333 0.6667 0.0150
Ru1 0.0000 0.0000 0.0000
Ru2 0.0000 0.5000 0.0000
```

---

Starting from a cell relaxed with PBE, the X-ray powder pattern of Cu2S3O12 was calculated for Cu Kα.
Kinematic intensities with the Lorentz-polarization factor, no thermal factor.

Main lines, in order of rising 2θ (10 to 80 degrees two-theta):
d = 5.986 Å, 2θ 14.8, I = 69, hkl 0 1 2
d = 4.388 Å, 2θ 20.2, I = 68, hkl 1 0 4
d = 4.093 Å, 2θ 21.7, I = 25, hkl 1 1 0
d = 3.587 Å, 2θ 24.8, I = 100, hkl 2 -1 3
d = 2.993 Å, 2θ 29.9, I = 51, hkl 0 2 4
d = 2.755 Å, 2θ 32.5, I = 75, hkl 1 1 6
d = 2.416 Å, 2θ 37.2, I = 17, hkl 2 1 4
d = 2.363 Å, 2θ 38.1, I = 22, hkl 3 0 0
d = 1.794 Å, 2θ 50.9, I = 19, hkl 2 2 6
d = 1.716 Å, 2θ 53.4, I = 22, hkl 2 1 10
d = 1.547 Å, 2θ 59.8, I = 14, hkl 1 4 0
d = 1.476 Å, 2θ 63.0, I = 14, hkl 4 -3 10

Structural model:
```
data_Cu2S3O12
_cell_length_a 8.1859
_cell_length_b 8.1859
_cell_length_c 22.3472
_cell_angle_alpha 90.00
_cell_angle_beta 90.00
_cell_angle_gamma 120.00
_symmetry_space_group_name_H-M 'R -3'
_symmetry_Int_Tables_number 148
_symmetry_space_group_name_Hall '-R 3'
loop_
_atom_site_label
_atom_site_fract_x
_atom_site_fract_y
_atom_site_fract_z
Cu1 0.0000 0.0000 0.1459
Cu2 0.0000 0.0000 0.3463
S1 0.9998 0.2908 0.7489
O1 0.0100 0.7992 0.1929
O2 0.0456 0.2138 0.0886
O3 0.0911 0.2346 0.7014
O4 0.0928 0.2301 0.4001
```

---

Starting from a cell relaxed with PBE, the X-ray powder pattern of Mo2N was calculated for Cu Kα.
Kinematic intensities with the Lorentz-polarization factor, no thermal factor.

Main lines, in order of rising 2θ (10 to 80 degrees two-theta):
d = 2.417 Å, 2θ 37.2, I = 100, hkl 1 1 2
d = 2.278 Å, 2θ 39.6, I = 3, hkl 1 0 3
d = 2.131 Å, 2θ 42.4, I = 45, hkl 2 0 0
d = 2.022 Å, 2θ 44.8, I = 18, hkl 0 0 4
d = 1.557 Å, 2θ 59.4, I = 2, hkl 2 1 3
d = 1.512 Å, 2θ 61.3, I = 1, hkl 1 0 5
d = 1.507 Å, 2θ 61.5, I = 14, hkl 2 2 0
d = 1.467 Å, 2θ 63.4, I = 24, hkl 2 0 4
d = 1.279 Å, 2θ 74.1, I = 26, hkl 3 1 2
d = 1.233 Å, 2θ 77.4, I = 1, hkl 2 1 5
d = 1.231 Å, 2θ 77.6, I = 10, hkl 1 1 6
d = 1.208 Å, 2θ 79.3, I = 13, hkl 2 2 4

Structural model:
```
data_Mo2N
_cell_length_a 4.263
_cell_length_b 4.263
_cell_length_c 8.088
_cell_angle_alpha 90.00
_cell_angle_beta 90.00
_cell_angle_gamma 90.00
_symmetry_space_group_name_H-M 'I 41/a m d'
_symmetry_Int_Tables_number 141
loop_
_symmetry_equiv_pos_as_xyz
'x,y,z'
'-x,-y,-z'
'-y+1/4,x+3/4,z+1/4'
'y+1/4,-x+3/4,-z+1/4'
'-x+1/2,-y,z+1/2'
'x+1/2,y,-z+1/2'
'y+1/4,-x+1/4,z+3/4'
'-y+1/4,x+1/4,-z+3/4'
'x,-y,-z'
'-x,y,z'
'-y+1/4,-x+1/4,-z+3/4'
'y+1/4,x+1/4,z+3/4'
'-x+1/2,y,-z+1/2'
'x+1/2,-y,z+1/2'
'y+1/4,x+3/4,-z+1/4'
'-y+1/4,-x+3/4,z+1/4'
'x+1/2,y+1/2,z+1/2'
'-x+1/2,-y+1/2,-z+1/2'
'-y+3/4,x+1/4,z+3/4'
'y+3/4,-x+1/4,-z+3/4'
'-x,-y+1/2,z'
'x,y+1/2,-z'
'y+3/4,-x+3/4,z+1/4'
'-y+3/4,x+3/4,-z+1/4'
'x+1/2,-y+1/2,-z+1/2'
'-x+1/2,y+1/2,z+1/2'
'-y+3/4,-x+3/4,-z+1/4'
'y+3/4,x+3/4,z+1/4'
'-x,y+1/2,-z'
'x,-y+1/2,z'
'y+3/4,x+1/4,-z+3/4'
'-y+3/4,-x+1/4,z+3/4'
loop_
_atom_site_label
_atom_site_fract_x
_atom_site_fract_y
_atom_site_fract_z
Mo1 0.000 0.250 0.115
N1 0.000 0.250 0.375
```

---

What is the formula in the first record? Ho3Al12Ru4

---

Please write out number 1 again, unchanged.
Starting from a cell relaxed with PBE, the X-ray powder pattern of Ho3Al12Ru4 was calculated for Cu Kα.
Kinematic intensities with the Lorentz-polarization factor, no thermal factor.

Main lines, in order of rising 2θ (10 to 80 degrees two-theta):
d = 5.969 Å, 2θ 14.8, I = 42, hkl 1 0 1
d = 3.545 Å, 2θ 25.1, I = 61, hkl 2 0 1
d = 2.985 Å, 2θ 29.9, I = 100, hkl 2 0 2
d = 2.884 Å, 2θ 31.0, I = 22, hkl 2 1 0
d = 2.471 Å, 2θ 36.4, I = 36, hkl 2 1 2
d = 2.459 Å, 2θ 36.5, I = 34, hkl 3 0 1
d = 2.449 Å, 2θ 36.7, I = 68, hkl 2 0 3
d = 2.395 Å, 2θ 37.6, I = 37, hkl 0 0 4
d = 2.203 Å, 2θ 41.0, I = 83, hkl 2 2 0
d = 1.772 Å, 2θ 51.6, I = 17, hkl 4 0 2
d = 1.621 Å, 2θ 56.8, I = 38, hkl 2 2 4
d = 1.473 Å, 2θ 63.1, I = 19, hkl 2 0 6

Structural model:
```
data_Ho3Al12Ru4
_cell_length_a 8.8122
_cell_length_b 8.8122
_cell_length_c 9.5808
_cell_angle_alpha 90.00
_cell_angle_beta 90.00
_cell_angle_gamma 120.00
_symmetry_space_group_name_H-M 'P 63/m m c'
_symmetry_Int_Tables_number 194
_symmetry_space_group_name_Hall '-P 6c 2c'
loop_
_atom_site_label
_atom_site_fract_x
_atom_site_fract_y
_atom_site_fract_z
Ho1 0.1937 0.3874 0.2500
Al1 0.0000 0.0000 0.2500
Al2 0.1217 0.5608 0.7500
Al3 0.1619 0.3239 0.5775
Al4 0.3333 0.6667 0.0150
Ru1 0.0000 0.0000 0.0000
Ru2 0.0000 0.5000 0.0000
```